No. 1
Starting from a structure optimized by DFT (GGA-PBE), the X-ray diffraction stick pattern of Tl6Hg3Sb2 was computed for Cu Kα (λ = 1.5418 Å).

Most intense lines, 10 to 90 degrees two-theta, sorted by position:
two_theta, I_rel
19.72, 5
32.09, 21
32.83, 100
46.54, 15
47.70, 7
57.68, 16
58.59, 23
68.80, 7
77.53, 7
79.27, 7

Structural model:
```
11
Lattice="4.6891 -8.3681 0.0000 4.6891 8.3681 0.0000 -3.1789 0.0000 4.4419" Properties=species:S:1:pos:R:3 pbc="T T T"
Tl 1.5150 2.7027 1.0886
Tl -0.0535 0.0000 3.3597
Tl 1.5150 -2.7027 1.0886
Tl 4.6841 2.7027 3.3534
Tl 6.2526 0.0000 1.0822
Tl 4.6841 -2.7027 3.3534
Hg 3.0996 5.6072 2.2210
Hg 3.0996 0.0000 2.2210
Hg 3.0996 -5.6072 2.2210
Sb 4.6891 2.9067 0.0000
Sb 4.6891 -2.9067 0.0000
```


No. 2
Starting from a structure optimized by DFT (GGA-PBE), the X-ray diffraction stick pattern of Tb3GeS6 was computed for Cu Kα (λ = 1.5418 Å).

Most intense lines, 10 to 90 degrees two-theta, sorted by position:
two_theta, I_rel
17.09, 23
25.21, 100
25.51, 56
25.83, 17
34.95, 19
37.67, 42
38.29, 25
42.25, 36
49.17, 22
51.20, 16

Structural model:
```
20
Lattice="5.3555 -6.6779 0.0000 5.3555 6.6779 0.0000 0.0000 0.0000 6.6183" Properties=species:S:1:pos:R:3 pbc="T T T"
Tb 5.3555 5.3651 3.3091
Tb 3.3682 1.3220 3.8555
Tb 3.3682 -1.3220 0.5463
Tb 7.3428 1.3220 3.8555
Tb 7.3428 -1.3220 0.5463
Tb 5.3555 -5.3651 0.0000
Ge 5.3555 2.6670 0.8184
Ge 5.3555 -2.6670 4.1276
S 3.5514 3.5668 2.0215
S 1.7333 0.3831 1.9237
S 1.7333 -0.3831 5.2329
S 5.3555 2.9117 4.9619
S 7.1596 3.5668 2.0215
S 5.3555 0.4803 1.8306
S 5.3555 -0.4803 5.1397
S 3.5514 -3.5668 5.3306
S 5.3555 -2.9117 1.6527
S 8.9777 0.3831 1.9237
S 8.9777 -0.3831 5.2329
S 7.1596 -3.5668 5.3306
```


No. 3
Starting from a structure optimized by DFT (GGA-PBE), the X-ray diffraction stick pattern of GaPt3O6 was computed for Cu Kα (λ = 1.5418 Å).

Most intense lines, 10 to 90 degrees two-theta, sorted by position:
two_theta, I_rel
31.44, 100
31.80, 100
36.27, 25
36.88, 49
52.68, 75
53.62, 15
62.25, 15
62.46, 14
62.85, 29
63.49, 27

Structural model:
```
10
Lattice="3.4757 -4.9537 0.0000 3.4757 4.9537 0.0000 0.0000 0.0000 3.4187" Properties=species:S:1:pos:R:3 pbc="T T T"
Ga 0.0000 0.0000 0.0000
Pt 1.7378 2.4768 1.7093
Pt 1.7378 -2.4768 1.7093
Pt 3.4757 0.0000 0.0000
O 3.4757 3.5650 1.7093
O 1.9554 1.2684 0.0000
O 1.9554 -1.2684 0.0000
O 4.9960 1.2684 0.0000
O 4.9960 -1.2684 0.0000
O 3.4757 -3.5650 1.7093
```


No. 4
Starting from a structure optimized by DFT (GGA-PBE), the X-ray diffraction stick pattern of Tb5Pr4Al was computed for Cu Kα (λ = 1.5418 Å).

Most intense lines, 10 to 90 degrees two-theta, sorted by position:
two_theta, I_rel
28.64, 19
30.72, 100
33.06, 16
35.00, 45
48.90, 17
50.34, 16
51.72, 11
58.79, 17
60.14, 30
81.00, 14

Structural model:
```
10
Lattice="3.6254 0.0000 0.0000 0.0000 3.6254 0.0000 0.0000 0.0000 24.3980" Properties=species:S:1:pos:R:3 pbc="T T T"
Tb 0.0000 0.0000 0.0000
Tb 0.0000 0.0000 5.1550
Tb 0.0000 0.0000 10.3678
Tb 0.0000 0.0000 14.0302
Tb 0.0000 0.0000 19.2430
Pr 1.8127 1.8127 2.5709
Pr 1.8127 1.8127 7.7416
Pr 1.8127 1.8127 16.6564
Pr 1.8127 1.8127 21.8271
Al 1.8127 1.8127 12.1990
```


No. 5
Starting from a structure optimized by DFT (GGA-PBE), the X-ray diffraction stick pattern of YHfSc was computed for Cu Kα (λ = 1.5418 Å).

Most intense lines, 10 to 90 degrees two-theta, sorted by position:
two_theta, I_rel
10.83, 59
31.24, 14
32.89, 29
33.15, 100
38.39, 70
55.25, 21
55.60, 20
65.81, 14
66.13, 23
66.28, 13

Structural model:
```
3
Lattice="3.3062 0.0000 0.0000 -1.6531 2.8632 0.0000 0.0000 0.0000 8.1690" Properties=species:S:1:pos:R:3 pbc="T T T"
Y 0.0000 0.0000 0.0000
Hf 1.6531 0.9544 2.6926
Sc 0.0000 1.9088 5.1880
```


No. 6
Starting from a structure optimized by DFT (GGA-PBE), the X-ray diffraction stick pattern of ErSc3Zn8 was computed for Cu Kα (λ = 1.5418 Å).

Most intense lines, 10 to 90 degrees two-theta, sorted by position:
two_theta, I_rel
21.90, 25
33.61, 29
37.20, 68
39.90, 100
40.48, 89
44.65, 22
62.48, 25
64.36, 23
68.48, 28
70.66, 25

Structural model:
```
12
Lattice="5.3322 0.0000 0.0000 -2.6661 4.6179 0.0000 0.0000 0.0000 8.5105" Properties=species:S:1:pos:R:3 pbc="T T T"
Er 0.0000 0.0000 0.0000
Sc 0.0000 0.0000 3.2320
Sc 2.6661 1.5393 4.1821
Sc 2.6661 1.5393 7.3628
Zn 0.0000 1.5077 5.8036
Zn -1.3604 3.8640 5.8036
Zn 0.0000 3.0786 3.6986
Zn 0.0000 3.0786 7.9493
Zn 2.6661 0.0413 1.5937
Zn 1.3689 2.2883 1.5937
Zn 1.3604 3.8640 5.8036
Zn 3.9634 2.2883 1.5937
```